Structure and computed powder diffraction line list of LiMgBN2 (a PBE-relaxed structure; Cu Kα (weighted mean of Kα1 and Kα2)).
No peak broadening, texture or thermal motion is included.

```
data_LiMgBN2
_chemical_formula_sum 'Li2 Mg2 B2 N4'
_cell_length_a 3.819
_cell_length_b 3.819
_cell_length_c 8.887
_cell_angle_alpha 90.00
_cell_angle_beta 90.00
_cell_angle_gamma 90.00
_symmetry_space_group_name_H-M 'I -4 m 2'
_symmetry_Int_Tables_number 119
_symmetry_space_group_name_Hall 'I -4 -2'
loop_
_atom_site_label
_atom_site_fract_x
_atom_site_fract_y
_atom_site_fract_z
_atom_site_occupancy
Li1 0.000 0.000 0.000 1
Mg1 0.000 0.000 0.500 1
B1 0.000 0.500 0.750 1
N1 0.000 0.500 0.599 1
```

Peak list (8 most intense, 2θ from 10° to 90°, sorted by position)
h k l	two_theta	I (rel.)
0 0 2	19.98	403
1 0 1	25.38	1000
1 0 3	38.46	210
1 1 2	39.03	251
2 0 0	47.62	294
1 1 4	53.40	189
2 1 1	54.72	161
1 1 6	72.83	118